Computed powder diffraction line list of Tb3TiGa12 for Cu Kα (weighted mean of Kα1 and Kα2), from a crystal structure in Alexandria, relaxed with GGA-PBE.
No peak broadening, texture or thermal motion is included.

Principal peaks in the range 2θ = 10–90°, sorted by position:
2θ/deg	d (Å)	Rel. int.
21.1	4.216	8
26.4	3.373	3
30.0	2.981	7
34.0	2.634	4
36.9	2.434	100
42.9	2.108	49
48.3	1.886	3
62.3	1.491	30
74.7	1.271	34
78.6	1.217	10

Crystal structure
Unit cell a=4.217 b=4.217 c=16.859 alpha=90.00 beta=90.00 gamma=90.00
Fractional coordinates of all 16 atoms:
Tb (0.000, 0.000, 0.000)
Tb (0.000, 0.000, 0.260)
Tb (0.000, 0.000, 0.740)
Ti (0.000, 0.000, 0.500)
Ga (0.000, 0.500, 0.129)
Ga (0.000, 0.500, 0.387)
Ga (0.000, 0.500, 0.613)
Ga (0.000, 0.500, 0.871)
Ga (0.500, 0.000, 0.129)
Ga (0.500, 0.000, 0.387)
Ga (0.500, 0.000, 0.613)
Ga (0.500, 0.000, 0.871)
Ga (0.500, 0.500, 0.000)
Ga (0.500, 0.500, 0.253)
Ga (0.500, 0.500, 0.500)
Ga (0.500, 0.500, 0.747)